Starting from DFT lattice parameters and positions (PBE), the powder diffraction line list of La2CuTe4 was calculated for Cu Kα (weighted mean of Kα1 and Kα2).
Intensities are scaled so that the largest is 100.

Cell and atoms:
Unit cell a=6.539 b=8.553 c=7.747 alpha=90.00 beta=90.23 gamma=90.00
Space group P2_1 (No. 4)
Unique sites:
La 0.001 0.000 0.228 [2 per cell]
La 0.495 0.885 0.763 [2 per cell]
Cu 0.183 0.647 0.414 [2 per cell]
Te 0.010 0.854 0.616 [2 per cell]
Te 0.249 0.692 0.086 [2 per cell]
Te 0.253 0.193 0.924 [2 per cell]
Te 0.480 0.537 0.616 [2 per cell]

The 10 most intense peaks (10 to 90 degrees two-theta), low angle first:
d = 4.314 Å, I = 37, (1 1 1)
d = 3.744 Å, I = 37, (0 2 1)
d = 3.529 Å, I = 46, (0 1 2)
d = 3.106 Å, I = 69, (1 1 -2)
d = 3.011 Å, I = 47, (2 0 1)
d = 2.871 Å, I = 45, (0 2 2)
d = 2.840 Å, I = 80, (2 1 1)
d = 2.675 Å, I = 93, (0 3 1)
d = 2.597 Å, I = 100, (2 2 0)
d = 2.309 Å, I = 37, (1 1 3)